Record 1
This entry pairs a crystal structure of Hf6Ir5Os with its simulated PXRD pattern. Radiation: Cu Kα. Structure: the PBE geometry in Alexandria.

Main lines, sorted by position (2θ = 10–80°):
h k l, d_spacing, two_theta, I (rel.)
1 2 1, 2.371, 37.94, 100
0 0 3, 2.308, 39.02, 92
1 2 -2, 2.256, 39.97, 88
2 0 2, 1.720, 53.25, 19
0 4 0, 1.637, 56.21, 17
1 2 4, 1.368, 68.61, 35
0 4 3, 1.335, 70.54, 33
1 2 -5, 1.301, 72.66, 30

Cell lengths 4.642, 6.546, 7.112 Å; angles 90.00, 103.24, 90.00 degrees
Space group P2/m (No. 10)
Inequivalent atoms, fractional coordinates:
Hf  0.000  0.249  0.000 [2 per cell]
Hf  0.343  0.248  0.666 [4 per cell]
Ir  0.142  0.000  0.325 [2 per cell]
Ir  0.157  0.500  0.331 [2 per cell]
Ir  0.500  0.500  0.000 [1 per cell]
Os  0.500  0.000  0.000 [1 per cell]

Record 2
This entry pairs a crystal structure of Pr2HfSi3Ir4 with its simulated PXRD pattern. Radiation: Cu Kα. Structure: the PBE geometry in Alexandria.

Main lines, sorted by position (2θ = 10–80°):
h k l, d_spacing, two_theta, I (rel.)
1 0 2, 3.285, 27.14, 29
1 0 3, 2.708, 33.08, 27
1 1 2, 2.579, 34.78, 100
2 0 0, 2.082, 43.47, 49
1 1 4, 1.979, 45.85, 23
1 0 5, 1.902, 47.81, 21
2 2 0, 1.472, 63.16, 16
3 1 2, 1.279, 74.17, 23

Cell lengths 4.164, 4.164, 10.693 Å; angles 90.00, 90.00, 90.00 degrees
Space group P-4m2 (No. 115)
Inequivalent atoms, fractional coordinates:
Pr  0.000  0.500  0.237 [2 per cell]
Hf  0.000  0.000  0.500 [1 per cell]
Si  0.000  0.500  0.879 [2 per cell]
Si  0.500  0.500  0.500 [1 per cell]
Ir  0.000  0.000  0.000 [1 per cell]
Ir  0.000  0.500  0.648 [2 per cell]
Ir  0.500  0.500  0.000 [1 per cell]

Record 3
This entry pairs a crystal structure of HfZnIrPt with its simulated PXRD pattern. Radiation: Cu Kα. Structure: the PBE geometry in Alexandria.

Main lines, sorted by position (2θ = 10–80°):
h k l, d_spacing, two_theta, I (rel.)
1 0 1, 3.626, 24.55, 9
1 1 0, 2.942, 30.39, 4
1 1 2, 2.302, 39.14, 100
2 0 0, 2.080, 43.51, 37
0 0 4, 1.848, 49.30, 13
2 2 0, 1.471, 63.22, 12
2 0 4, 1.382, 67.83, 20
3 1 2, 1.239, 76.93, 28

Cell lengths 4.160, 4.160, 7.393 Å; angles 90.00, 90.00, 90.00 degrees
Space group I-4m2 (No. 119)
Inequivalent atoms, fractional coordinates:
Hf  0.000  0.000  0.000 [2 per cell]
Zn  0.000  0.000  0.500 [2 per cell]
Ir  0.000  0.500  0.250 [2 per cell]
Pt  0.000  0.500  0.750 [2 per cell]

Record 4
This entry pairs a crystal structure of HfIr2Rh2 with its simulated PXRD pattern. Radiation: Cu Kα. Structure: the PBE geometry in Alexandria.

Main lines, sorted by position (2θ = 10–80°):
h k l, d_spacing, two_theta, I (rel.)
0 0 1, 3.600, 24.73, 24
2 0 1, 2.465, 36.45, 19
2 1 1, 2.316, 38.89, 100
3 1 0, 2.139, 42.26, 49
3 1 1, 1.839, 49.58, 19
0 0 2, 1.800, 50.72, 18
3 2 1, 1.663, 55.22, 11
3 1 2, 1.377, 68.08, 24

Cell lengths 6.763, 6.763, 3.600 Å; angles 90.00, 90.00, 90.00 degrees
Space group P4/mbm (No. 127)
Inequivalent atoms, fractional coordinates:
Hf  0.000  0.000  0.000 [2 per cell]
Ir  0.132  0.368  0.000 [4 per cell]
Rh  0.165  0.665  0.500 [4 per cell]

Record 5
This entry pairs a crystal structure of Hf7Ir2Rh2 with its simulated PXRD pattern. Radiation: Cu Kα. Structure: the PBE geometry in Alexandria.

Main lines, sorted by position (2θ = 10–80°):
h k l, d_spacing, two_theta, I (rel.)
1 3 -1, 2.784, 32.15, 54
2 2 -1, 2.733, 32.77, 64
2 0 1, 2.684, 33.38, 40
1 1 2, 2.584, 34.71, 36
0 4 0, 2.439, 36.86, 68
2 2 -2, 2.359, 38.14, 100
1 3 2, 2.068, 43.77, 76
3 5 0, 1.459, 63.81, 33

Cell lengths 6.816, 9.755, 6.796 Å; angles 90.00, 104.77, 90.00 degrees
Space group C2/m (No. 12)
Inequivalent atoms, fractional coordinates:
Hf  0.000  0.000  0.000 [2 per cell]
Hf  0.002  0.500  0.268 [4 per cell]
Hf  0.170  0.220  0.696 [8 per cell]
Ir  0.166  0.000  0.407 [4 per cell]
Rh  0.000  0.298  0.000 [4 per cell]

Record 6
This entry pairs a crystal structure of Hf4IrRh3 with its simulated PXRD pattern. Radiation: Cu Kα. Structure: the PBE geometry in Alexandria.

Main lines, sorted by position (2θ = 10–80°):
h k l, d_spacing, two_theta, I (rel.)
2 0 1, 2.329, 38.66, 100
0 2 2, 2.322, 38.78, 99
2 2 -1, 2.293, 39.29, 96
0 0 4, 1.668, 55.05, 18
4 0 -2, 1.626, 56.61, 17
2 2 3, 1.349, 69.71, 35
4 2 0, 1.332, 70.73, 34
2 4 1, 1.328, 70.96, 34

Cell lengths 6.504, 6.469, 7.418 Å; angles 90.00, 115.91, 90.00 degrees
Space group C2/m (No. 12)
Inequivalent atoms, fractional coordinates:
Hf  0.125  0.250  0.251 [8 per cell]
Ir  0.000  0.000  0.500 [2 per cell]
Rh  0.000  0.500  0.500 [2 per cell]
Rh  0.243  0.500  0.986 [4 per cell]

Record 7
This entry pairs a crystal structure of Hf5IrRh2 with its simulated PXRD pattern. Radiation: Cu Kα. Structure: the PBE geometry in Alexandria.

Main lines, sorted by position (2θ = 10–80°):
h k l, d_spacing, two_theta, I (rel.)
1 1 4, 2.794, 32.03, 25
2 1 3, 2.508, 35.81, 100
2 0 4, 2.404, 37.40, 37
2 2 0, 2.360, 38.13, 15
0 0 6, 2.311, 38.97, 15
3 1 0, 2.111, 42.84, 47
4 1 3, 1.528, 60.60, 17
3 3 4, 1.433, 65.10, 11

Cell lengths 6.676, 6.676, 13.866 Å; angles 90.00, 90.00, 90.00 degrees
Space group I4/mcm (No. 140)
Inequivalent atoms, fractional coordinates:
Hf  0.000  0.000  0.000 [4 per cell]
Hf  0.169  0.331  0.153 [16 per cell]
Ir  0.000  0.000  0.250 [4 per cell]
Rh  0.139  0.361  0.500 [8 per cell]

Record 8
This entry pairs a crystal structure of Hf6Ir3Rh with its simulated PXRD pattern. Radiation: Cu Kα. Structure: the PBE geometry in Alexandria.

Main lines, sorted by position (2θ = 10–80°):
h k l, d_spacing, two_theta, I (rel.)
1 0 2, 2.714, 33.00, 33
1 0 -4, 2.670, 33.57, 46
1 1 2, 2.510, 35.78, 39
1 2 1, 2.477, 36.26, 100
1 2 -3, 2.456, 36.59, 35
2 2 -3, 2.313, 38.94, 41
0 0 4, 2.184, 41.34, 52
1 3 -1, 2.101, 43.06, 62

Cell lengths 7.051, 6.601, 11.101 Å; angles 90.00, 128.08, 90.00 degrees
Space group P2_1/c (No. 14)
Inequivalent atoms, fractional coordinates:
Hf  0.026  0.074  0.252 [4 per cell]
Hf  0.226  0.650  0.068 [4 per cell]
Hf  0.400  0.159  0.067 [4 per cell]
Ir  0.317  0.149  0.772 [4 per cell]
Ir  0.500  0.000  0.500 [2 per cell]
Rh  0.000  0.000  0.000 [2 per cell]

Record 9
This entry pairs a crystal structure of Hf3Ir2Rh with its simulated PXRD pattern. Radiation: Cu Kα. Structure: the PBE geometry in Alexandria.

Main lines, sorted by position (2θ = 10–80°):
h k l, d_spacing, two_theta, I (rel.)
1 2 1, 2.358, 38.17, 100
1 2 -2, 2.351, 38.28, 99
0 0 3, 2.214, 40.76, 83
0 4 0, 1.786, 51.14, 22
0 4 3, 1.390, 67.36, 38
3 2 0, 1.306, 72.35, 16
1 2 4, 1.304, 72.46, 15
1 2 -5, 1.301, 72.67, 16

Cell lengths 4.431, 7.145, 6.986 Å; angles 90.00, 108.21, 90.00 degrees
Space group P2/m (No. 10)
Inequivalent atoms, fractional coordinates:
Hf  0.000  0.249  0.000 [2 per cell]
Hf  0.334  0.249  0.667 [4 per cell]
Ir  0.166  0.500  0.332 [2 per cell]
Ir  0.500  0.000  0.000 [1 per cell]
Ir  0.500  0.500  0.000 [1 per cell]
Rh  0.168  0.000  0.336 [2 per cell]

Record 10
This entry pairs a crystal structure of TbHfIrRh with its simulated PXRD pattern. Radiation: Cu Kα. Structure: the PBE geometry in Alexandria.

Main lines, sorted by position (2θ = 10–80°):
h k l, d_spacing, two_theta, I (rel.)
1 1 1, 3.874, 22.96, 4
2 2 0, 2.372, 37.93, 100
3 1 1, 2.023, 44.80, 2
4 0 0, 1.677, 54.72, 17
3 3 1, 1.539, 60.11, 1
4 2 2, 1.370, 68.51, 35
5 1 1, 1.291, 73.31, 1

Cell lengths 6.710, 6.710, 6.710 Å; angles 90.00, 90.00, 90.00 degrees
Space group F-43m (No. 216)
Inequivalent atoms, fractional coordinates:
Tb  0.000  0.000  0.000 [4 per cell]
Hf  0.000  0.000  0.500 [4 per cell]
Ir  0.250  0.250  0.250 [4 per cell]
Rh  0.250  0.250  0.750 [4 per cell]

Record 11
This entry pairs a crystal structure of HfTlIr2Ru with its simulated PXRD pattern. Radiation: Cu Kα. Structure: the PBE geometry in Alexandria.

Main lines, sorted by position (2θ = 10–80°):
h k l, d_spacing, two_theta, I (rel.)
1 0 1, 3.405, 26.17, 9
1 1 1, 2.780, 32.20, 100
2 0 0, 2.408, 37.35, 88
2 2 0, 1.703, 53.85, 62
1 1 3, 1.453, 64.07, 14
3 1 1, 1.451, 64.18, 29
2 2 2, 1.390, 67.36, 21
4 0 0, 1.203, 79.71, 7

Cell lengths 4.812, 4.812, 4.822 Å; angles 90.00, 90.00, 90.00 degrees
Space group P4/mmm (No. 123)
Inequivalent atoms, fractional coordinates:
Hf  0.000  0.000  0.000 [1 per cell]
Tl  0.500  0.500  0.000 [1 per cell]
Ir  0.000  0.500  0.500 [2 per cell]
Ru  0.000  0.000  0.500 [1 per cell]

Record 12
This entry pairs a crystal structure of Hf3ScIr2 with its simulated PXRD pattern. Radiation: Cu Kα. Structure: the PBE geometry in Alexandria.

Main lines, sorted by position (2θ = 10–80°):
h k l, d_spacing, two_theta, I (rel.)
1 2 1, 2.741, 32.67, 67
1 0 2, 2.663, 33.66, 40
1 1 2, 2.530, 35.48, 88
1 3 0, 2.319, 38.84, 100
2 0 0, 2.244, 40.18, 71
1 1 3, 1.923, 47.27, 34
1 3 2, 1.899, 47.91, 38
0 6 2, 1.254, 75.91, 33

Cell lengths 4.489, 8.124, 6.615 Å; angles 90.00, 90.00, 90.00 degrees
Space group Pmc2_1 (No. 26)
Inequivalent atoms, fractional coordinates:
Hf  0.000  0.075  0.000 [2 per cell]
Hf  0.000  0.331  0.358 [2 per cell]
Hf  0.500  0.172  0.656 [2 per cell]
Sc  0.500  0.426  0.019 [2 per cell]
Ir  0.000  0.336  0.759 [2 per cell]
Ir  0.500  0.158  0.254 [2 per cell]